Starting from DFT lattice parameters and positions (GGA-PBE), the XRD peak list of TmHf2ReC4 was computed for a wavelength of 1.5418 Å.
Peak positions follow from Bragg's law for the DFT cell and can differ from measured ones.

Atomic structure:
```
data_TmHf2ReC4
_cell_length_a 3.282
_cell_length_b 11.505
_cell_length_c 11.557
_cell_angle_alpha 90.00
_cell_angle_beta 90.00
_cell_angle_gamma 90.00
_symmetry_space_group_name_H-M 'C m c m'
_symmetry_Int_Tables_number 63
_symmetry_space_group_name_Hall '-C 2c 2'
loop_
_atom_site_label
_atom_site_type_symbol
_atom_site_fract_x
_atom_site_fract_y
_atom_site_fract_z
_atom_site_occupancy
Tm1 Tm 0.000 0.107 0.250 1
Hf1 Hf 0.000 0.369 0.037 1
Re1 Re 0.000 0.156 0.750 1
C1 C 0.000 0.000 0.000 1
C2 C 0.000 0.262 0.619 1
C3 C 0.000 0.447 0.250 1
```

Main lines, sorted by position (2θ = 10–80°):
2theta  I/Imax  index
30.95  49  0 0 4
31.09  54  0 4 0
32.32  100  1 1 2
39.35  86  1 3 2
54.15  29  1 5 3
65.43  30  2 4 0

=====

Starting from DFT lattice parameters and positions (GGA-PBE), the XRD peak list of Be17NbRe was computed for a wavelength of 1.5418 Å.
Peak positions follow from Bragg's law for the DFT cell and can differ from measured ones.

Atomic structure:
```
data_Be17NbRe
_cell_length_a 7.3116
_cell_length_b 7.3116
_cell_length_c 10.6196
_cell_angle_alpha 90.00
_cell_angle_beta 90.00
_cell_angle_gamma 120.00
_symmetry_space_group_name_H-M 'R 3 m'
_symmetry_Int_Tables_number 160
_symmetry_space_group_name_Hall 'R 3 -2"'
loop_
_atom_site_label
_atom_site_type_symbol
_atom_site_fract_x
_atom_site_fract_y
_atom_site_fract_z
_atom_site_occupancy
Be1 Be 0.0000 0.0000 0.0559 1
Be2 Be 0.0000 0.0000 0.2551 1
Be3 Be 0.0000 0.5000 0.0000 1
Be4 Be 0.0046 0.3019 0.1527 1
Be5 Be 0.0049 0.5025 0.6515 1
Be6 Be 0.0114 0.5057 0.3074 1
Nb1 Nb 0.0000 0.0000 0.8128 1
Re1 Re 0.0000 0.0000 0.4902 1
```

Main lines, sorted by position (2θ = 10–80°):
2theta  I/Imax  index
16.30  90  1 0 1
21.84  38  0 1 2
24.35  100  1 1 0
35.29  91  1 1 3
42.85  32  3 0 0
50.33  45  0 3 3